Record 1
This entry pairs a crystal structure of Ac4Fe3O10 with its computed powder XRD pattern. Radiation: Cu Kα (weighted mean of Kα1 and Kα2). Structure: a GGA+U-relaxed structure.
Peak positions follow from Bragg's law for the DFT cell and can differ from measured ones.

Most intense lines, 10° ≤ 2θ ≤ 80°, low angle first:
index  two_theta  I/Imax
1 0 1  22.4  38
0 0 8  24.4  21
1 0 7  30.9  100
1 1 0  31.5  66
1 1 8  40.3  39
2 0 0  45.2  34
2 0 8  52.0  12
1 0 15  52.3  15
2 1 7  55.8  40
2 1 15  71.5  12

Cell and atoms:
```
data_Ac4Fe3O10
_chemical_formula_sum 'Ac8 Fe6 O20'
_cell_length_a 4.0143
_cell_length_b 4.0143
_cell_length_c 29.1614
_cell_angle_alpha 90.00
_cell_angle_beta 90.00
_cell_angle_gamma 90.00
_symmetry_space_group_name_H-M 'I 4/m m m'
_symmetry_Int_Tables_number 139
_symmetry_space_group_name_Hall '-I 4 2'
loop_
_atom_site_label
_atom_site_fract_x
_atom_site_fract_y
_atom_site_fract_z
_atom_site_occupancy
Ac1 0.0000 0.0000 0.0658 1
Ac2 0.0000 0.0000 0.1985 1
Fe1 0.0000 0.0000 0.3619 1
Fe2 0.0000 0.0000 0.5000 1
O1 0.0000 0.0000 0.2843 1
O2 0.0000 0.0000 0.4306 1
O3 0.0000 0.5000 0.0000 1
O4 0.0000 0.5000 0.1407 1
```


Record 2
This entry pairs a crystal structure of Ac3Fe2O9 with its computed powder XRD pattern. Radiation: Cu Kα (weighted mean of Kα1 and Kα2). Structure: a GGA+U-relaxed structure.
Peak positions follow from Bragg's law for the DFT cell and can differ from measured ones.

Most intense lines, 10° ≤ 2θ ≤ 80°, low angle first:
index  two_theta  I/Imax
0 1 1  22.5  100
1 0 2  31.9  94
1 1 0  32.2  91
2 0 1  39.7  47
0 2 2  46.0  53
1 1 3  51.6  22
1 2 1  52.0  24
0 1 4  56.7  18
2 1 2  57.3  37
3 0 0  57.5  18

Cell and atoms:
```
data_Ac3Fe2O9
_chemical_formula_sum 'Ac3 Fe2 O9'
_cell_length_a 5.5539
_cell_length_b 5.5539
_cell_length_c 6.8937
_cell_angle_alpha 90.00
_cell_angle_beta 90.00
_cell_angle_gamma 120.00
_symmetry_space_group_name_H-M 'P -3 m 1'
_symmetry_Int_Tables_number 164
_symmetry_space_group_name_Hall '-P 3 2"'
loop_
_atom_site_label
_atom_site_fract_x
_atom_site_fract_y
_atom_site_fract_z
_atom_site_occupancy
Ac1 0.0000 0.0000 0.0000 1
Ac2 0.3333 0.6667 0.3486 1
Fe1 0.3333 0.6667 0.8318 1
O1 0.0000 0.5000 0.0000 1
O2 0.1740 0.3480 0.6785 1
```


Record 3
This entry pairs a crystal structure of Ac2Fe3O8 with its computed powder XRD pattern. Radiation: Cu Kα (weighted mean of Kα1 and Kα2). Structure: a GGA+U-relaxed structure.
Peak positions follow from Bragg's law for the DFT cell and can differ from measured ones.

Most intense lines, 10° ≤ 2θ ≤ 80°, low angle first:
index  two_theta  I/Imax
0 0 2  14.1  40
1 0 1  23.7  19
1 0 2  26.7  18
1 0 3  31.2  100
1 1 0  32.2  41
1 1 3  38.9  26
2 0 0  46.2  27
1 1 6  54.8  19
2 1 3  56.8  37
2 0 6  65.0  17

Cell and atoms:
```
data_Ac2Fe3O8
_chemical_formula_sum 'Ac2 Fe3 O8'
_cell_length_a 3.9280
_cell_length_b 3.9280
_cell_length_c 12.5958
_cell_angle_alpha 90.00
_cell_angle_beta 90.00
_cell_angle_gamma 90.00
_symmetry_space_group_name_H-M 'P 4/m m m'
_symmetry_Int_Tables_number 123
_symmetry_space_group_name_Hall '-P 4 2'
loop_
_atom_site_label
_atom_site_fract_x
_atom_site_fract_y
_atom_site_fract_z
_atom_site_occupancy
Ac1 0.0000 0.0000 0.1699 1
Fe1 0.5000 0.5000 0.0000 1
Fe2 0.5000 0.5000 0.3182 1
O1 0.0000 0.5000 0.0000 1
O2 0.0000 0.5000 0.3131 1
O3 0.5000 0.5000 0.1593 1
```


Record 4
This entry pairs a crystal structure of RbAc2Fe2O6 with its computed powder XRD pattern. Radiation: Cu Kα (weighted mean of Kα1 and Kα2). Structure: a GGA+U-relaxed structure.
Peak positions follow from Bragg's law for the DFT cell and can differ from measured ones.

Most intense lines, 10° ≤ 2θ ≤ 80°, low angle first:
index  two_theta  I/Imax
1 -1 0  16.1  100
1 0 0  17.0  35
1 1 -1  24.4  41
1 0 -2  26.8  41
1 0 1  28.4  58
0 1 -2  28.6  29
0 2 -1  29.3  68
2 0 -1  29.5  32
-1 2 1  33.7  25
2 1 -3  44.7  26

Cell and atoms:
```
data_RbAc2Fe2O6
_chemical_formula_sum 'Rb1 Ac2 Fe2 O6'
_cell_length_a 6.6213
_cell_length_b 6.6695
_cell_length_c 6.7882
_cell_angle_alpha 101.28
_cell_angle_beta 112.46
_cell_angle_gamma 113.42
_symmetry_space_group_name_H-M 'P -1'
_symmetry_Int_Tables_number 2
loop_
_symmetry_equiv_pos_as_xyz
'x,y,z'
'-x,-y,-z'
loop_
_atom_site_label
_atom_site_fract_x
_atom_site_fract_y
_atom_site_fract_z
_atom_site_occupancy
Rb1 0.0000 0.0000 0.0000 1
Ac1 0.3614 0.3023 0.6618 1
Fe1 0.3195 0.7791 0.7740 1
O1 0.1088 0.8940 0.6498 1
O2 0.3100 0.5812 0.9335 1
O3 0.4887 0.7132 0.6233 1
```


Record 5
This entry pairs a crystal structure of AcFeS2O8 with its computed powder XRD pattern. Radiation: Cu Kα (weighted mean of Kα1 and Kα2). Structure: a GGA+U-relaxed structure.
Peak positions follow from Bragg's law for the DFT cell and can differ from measured ones.

Most intense lines, 10° ≤ 2θ ≤ 80°, low angle first:
index  two_theta  I/Imax
0 0 1  11.9  59
1 0 0  19.5  100
0 1 1  22.9  68
0 1 2  31.1  95
1 1 0  34.1  55
0 0 3  36.2  41
1 0 3  41.5  30
1 1 2  42.1  39
2 0 2  46.8  43
1 2 2  59.1  28

Cell and atoms:
```
data_AcFeS2O8
_chemical_formula_sum 'Ac1 Fe1 S2 O8'
_cell_length_a 5.2640
_cell_length_b 5.2640
_cell_length_c 7.4238
_cell_angle_alpha 90.00
_cell_angle_beta 90.00
_cell_angle_gamma 120.00
_symmetry_space_group_name_H-M 'P -3 m 1'
_symmetry_Int_Tables_number 164
_symmetry_space_group_name_Hall '-P 3 2"'
loop_
_atom_site_label
_atom_site_fract_x
_atom_site_fract_y
_atom_site_fract_z
_atom_site_occupancy
Ac1 0.0000 0.0000 0.0000 1
Fe1 0.0000 0.0000 0.5000 1
S1 0.3333 0.6667 0.2226 1
O1 0.1774 0.3549 0.2844 1
O2 0.3333 0.6667 0.0181 1
```


Record 6
This entry pairs a crystal structure of AcSc2Fe2O7 with its computed powder XRD pattern. Radiation: Cu Kα (weighted mean of Kα1 and Kα2). Structure: a GGA+U-relaxed structure.
Peak positions follow from Bragg's law for the DFT cell and can differ from measured ones.

Most intense lines, 10° ≤ 2θ ≤ 80°, low angle first:
index  two_theta  I/Imax
2 0 0  10.3  44
4 0 0  20.7  61
2 0 1  25.8  36
3 1 0  26.5  100
1 1 1  31.7  79
3 1 -1  32.0  75
6 0 -1  33.9  69
8 0 0  42.1  45
2 0 -2  42.3  44
0 2 0  43.7  45

Cell and atoms:
```
data_AcSc2Fe2O7
_chemical_formula_sum 'Ac2 Sc4 Fe4 O14'
_cell_length_a 17.6094
_cell_length_b 4.1462
_cell_length_c 4.2725
_cell_angle_alpha 90.00
_cell_angle_beta 102.84
_cell_angle_gamma 90.00
_symmetry_space_group_name_H-M 'C 1 m 1'
_symmetry_Int_Tables_number 8
loop_
_symmetry_equiv_pos_as_xyz
'x,y,z'
'x,-y,z'
'x+1/2,y+1/2,z'
'x+1/2,-y+1/2,z'
loop_
_atom_site_label
_atom_site_fract_x
_atom_site_fract_y
_atom_site_fract_z
_atom_site_occupancy
Ac1 0.0000 0.0000 0.0000 1
Sc1 0.1230 0.5000 0.6725 1
Sc2 0.3911 0.0000 0.4268 1
Fe1 0.2390 0.5000 0.2886 1
Fe2 0.2600 0.0000 0.8124 1
O1 0.0086 0.5000 0.6247 1
O2 0.1201 0.5000 0.1839 1
O3 0.1412 0.0000 0.7129 1
O4 0.2507 0.5000 0.8015 1
O5 0.2689 0.0000 0.3243 1
O6 0.3818 0.0000 0.9253 1
O7 0.4105 0.5000 0.4361 1
```


Record 7
This entry pairs a crystal structure of Sr2AcFe2O6 with its computed powder XRD pattern. Radiation: Cu Kα (weighted mean of Kα1 and Kα2). Structure: a GGA+U-relaxed structure.
Peak positions follow from Bragg's law for the DFT cell and can differ from measured ones.

Most intense lines, 10° ≤ 2θ ≤ 80°, low angle first:
index  two_theta  I/Imax
1 0 1  17.3  46
0 1 2  19.1  50
1 0 4  25.1  20
0 1 5  28.8  81
1 1 0  29.0  100
1 1 6  40.8  24
2 0 5  41.3  38
1 2 5  51.2  35
3 0 0  51.4  21
2 2 0  60.1  20

Cell and atoms:
```
data_Sr2AcFe2O6
_chemical_formula_sum 'Sr6 Ac3 Fe6 O18'
_cell_length_a 6.1624
_cell_length_b 6.1624
_cell_length_c 19.0451
_cell_angle_alpha 90.00
_cell_angle_beta 90.00
_cell_angle_gamma 120.00
_symmetry_space_group_name_H-M 'R -3 m'
_symmetry_Int_Tables_number 166
_symmetry_space_group_name_Hall '-R 3 2"'
loop_
_atom_site_label
_atom_site_fract_x
_atom_site_fract_y
_atom_site_fract_z
_atom_site_occupancy
Sr1 0.0000 0.0000 0.1901 1
Ac1 0.0000 0.0000 0.0000 1
Fe1 0.0000 0.0000 0.4331 1
O1 0.0134 0.5067 0.7617 1
```


Record 8
This entry pairs a crystal structure of Ac2FeTeO6 with its computed powder XRD pattern. Radiation: Cu Kα (weighted mean of Kα1 and Kα2). Structure: a GGA+U-relaxed structure.
Peak positions follow from Bragg's law for the DFT cell and can differ from measured ones.

Most intense lines, 10° ≤ 2θ ≤ 80°, low angle first:
index  two_theta  I/Imax
1 1 0  18.5  10
1 0 1  21.0  24
0 0 2  29.0  26
1 2 1  29.9  100
2 0 0  30.8  26
2 2 0  37.5  10
2 0 2  42.8  39
1 2 3  52.0  18
3 2 1  54.1  20
2 4 2  62.1  13

Cell and atoms:
```
data_Ac2FeTeO6
_chemical_formula_sum 'Ac4 Fe2 Te2 O12'
_cell_length_a 5.8141
_cell_length_b 8.4658
_cell_length_c 6.1495
_cell_angle_alpha 90.00
_cell_angle_beta 90.00
_cell_angle_gamma 90.00
_symmetry_space_group_name_H-M 'P m m n'
_symmetry_Int_Tables_number 59
loop_
_symmetry_equiv_pos_as_xyz
'x,y,z'
'-x,-y,-z'
'-x+1/2,-y+1/2,z'
'x+1/2,y+1/2,-z'
'x+1/2,-y,-z'
'-x+1/2,y,z'
'-x,y+1/2,-z'
'x,-y+1/2,z'
loop_
_atom_site_label
_atom_site_fract_x
_atom_site_fract_y
_atom_site_fract_z
_atom_site_occupancy
Ac1 0.2500 0.0261 0.2169 1
Fe1 0.2500 0.7500 0.7614 1
Te1 0.2500 0.2500 0.7354 1
O1 0.0064 0.2500 0.9924 1
O2 0.0133 0.2500 0.4567 1
O3 0.2500 0.9998 0.8066 1
```


Record 9
This entry pairs a crystal structure of AcYFe2O6 with its computed powder XRD pattern. Radiation: Cu Kα (weighted mean of Kα1 and Kα2). Structure: a GGA+U-relaxed structure.
Peak positions follow from Bragg's law for the DFT cell and can differ from measured ones.

Most intense lines, 10° ≤ 2θ ≤ 80°, low angle first:
index  two_theta  I/Imax
1 1 0  19.4  34
0 2 0  22.4  21
0 2 1  31.9  100
2 2 -1  32.0  51
3 1 -2  37.6  17
2 2 0  39.3  25
4 0 -2  45.8  28
2 2 -3  56.7  21
2 4 0  56.9  44
6 2 -3  75.9  17

Cell and atoms:
```
data_AcYFe2O6
_chemical_formula_sum 'Ac2 Y2 Fe4 O12'
_cell_length_a 7.9215
_cell_length_b 7.9228
_cell_length_c 5.6105
_cell_angle_alpha 90.00
_cell_angle_beta 134.80
_cell_angle_gamma 90.00
_symmetry_space_group_name_H-M 'C 1 m 1'
_symmetry_Int_Tables_number 8
loop_
_symmetry_equiv_pos_as_xyz
'x,y,z'
'x,-y,z'
'x+1/2,y+1/2,z'
'x+1/2,-y+1/2,z'
loop_
_atom_site_label
_atom_site_fract_x
_atom_site_fract_y
_atom_site_fract_z
_atom_site_occupancy
Ac1 0.0000 0.0000 0.0000 1
Y1 0.4806 0.0000 0.9493 1
Fe1 0.0023 0.2495 0.4953 1
O1 0.0051 0.5000 0.3819 1
O2 0.0455 0.0000 0.6147 1
O3 0.2367 0.3096 0.0038 1
O4 0.2675 0.2016 0.5246 1
```


Repeat the first record exactly.
This entry pairs a crystal structure of Ac4Fe3O10 with its computed powder XRD pattern. Radiation: Cu Kα (weighted mean of Kα1 and Kα2). Structure: a GGA+U-relaxed structure.
Peak positions follow from Bragg's law for the DFT cell and can differ from measured ones.

Most intense lines, 10° ≤ 2θ ≤ 80°, low angle first:
index  two_theta  I/Imax
1 0 1  22.4  38
0 0 8  24.4  21
1 0 7  30.9  100
1 1 0  31.5  66
1 1 8  40.3  39
2 0 0  45.2  34
2 0 8  52.0  12
1 0 15  52.3  15
2 1 7  55.8  40
2 1 15  71.5  12

Cell and atoms:
```
data_Ac4Fe3O10
_chemical_formula_sum 'Ac8 Fe6 O20'
_cell_length_a 4.0143
_cell_length_b 4.0143
_cell_length_c 29.1614
_cell_angle_alpha 90.00
_cell_angle_beta 90.00
_cell_angle_gamma 90.00
_symmetry_space_group_name_H-M 'I 4/m m m'
_symmetry_Int_Tables_number 139
_symmetry_space_group_name_Hall '-I 4 2'
loop_
_atom_site_label
_atom_site_fract_x
_atom_site_fract_y
_atom_site_fract_z
_atom_site_occupancy
Ac1 0.0000 0.0000 0.0658 1
Ac2 0.0000 0.0000 0.1985 1
Fe1 0.0000 0.0000 0.3619 1
Fe2 0.0000 0.0000 0.5000 1
O1 0.0000 0.0000 0.2843 1
O2 0.0000 0.0000 0.4306 1
O3 0.0000 0.5000 0.0000 1
O4 0.0000 0.5000 0.1407 1
```


- Number 6 is which compound?
  AcSc2Fe2O7